Diffraction record for TbDyYMg. The powder diffractogram is computed, not measured: it uses a PBE-relaxed structure and Cu Kα (λ = 1.5418 Å).
Intensities are scaled so that the largest is 100.

Atomic structure:
a b c (Å): 3.536 3.472 19.900
angles (deg): 90.00 90.00 90.00
Space group Amm2 (No. 38)
Inequivalent atoms, fractional coordinates:
Tb1 0.000 0.000 0.000
Dy1 0.500 0.000 0.376
Y1 0.000 0.000 0.225
Mg1 0.500 0.000 0.614

The 10 most intense peaks (10 to 80 degrees two-theta), in order of falling intensity:
31.0 deg, I 100
36.6 deg, I 68
34.3 deg, I 58
29.0 deg, I 39
55.7 deg, I 35
26.0 deg, I 32
36.1 deg, I 27
62.4 deg, I 27
26.8 deg, I 25
26.9 deg, I 21